Record 1
Starting from DFT lattice parameters and positions (GGA-PBE), the PXRD pattern of Li3PdCl6 was simulated for Cu Ka.
Peak positions follow from Bragg's law for the DFT cell and can differ from measured ones.

Peak list (10 most intense, 10° ≤ 2θ ≤ 90°, by angle)
| two_theta | I (rel.) |
| --- | --- |
| 16.25 | 98 |
| 17.02 | 100 |
| 23.61 | 72 |
| 28.80 | 54 |
| 37.20 | 61 |
| 38.30 | 73 |
| 43.90 | 36 |
| 45.17 | 19 |
| 52.72 | 17 |
| 55.54 | 18 |

Structure:
Unit cell a=7.551 b=7.551 c=7.551 alpha=92.54 beta=92.54 gamma=92.54
Sites, in units of the cell vectors:
1 Li 0.118 0.210 0.570
2 Li 0.210 0.570 0.118
3 Li 0.430 0.882 0.790
4 Li 0.570 0.118 0.210
5 Li 0.790 0.430 0.882
6 Li 0.882 0.790 0.430
7 Pd 0.000 0.000 0.000
8 Pd 0.500 0.500 0.500
9 Cl 0.087 0.910 0.694
10 Cl 0.090 0.306 0.913
11 Cl 0.188 0.516 0.447
12 Cl 0.306 0.913 0.090
13 Cl 0.447 0.188 0.516
14 Cl 0.484 0.553 0.812
15 Cl 0.516 0.447 0.188
16 Cl 0.553 0.812 0.484
17 Cl 0.694 0.087 0.910
18 Cl 0.812 0.484 0.553
19 Cl 0.910 0.694 0.087
20 Cl 0.913 0.090 0.306

***

Record 2
Starting from DFT lattice parameters and positions (GGA-PBE), the PXRD pattern of LiPdCl5 was simulated for Cu Ka.
Peak positions follow from Bragg's law for the DFT cell and can differ from measured ones.

Peak list (10 most intense, 10° ≤ 2θ ≤ 90°, by angle)
| two_theta | I (rel.) |
| --- | --- |
| 14.49 | 100 |
| 16.46 | 38 |
| 21.89 | 56 |
| 22.08 | 20 |
| 23.97 | 20 |
| 37.28 | 29 |
| 40.30 | 13 |
| 42.18 | 15 |
| 44.46 | 13 |
| 47.00 | 14 |

Structure:
Unit cell a=7.087 b=7.087 c=8.163 alpha=108.43 beta=108.43 gamma=98.90
Sites, in units of the cell vectors:
1 Li 0.107 0.893 0.750
2 Li 0.893 0.107 0.250
3 Pd 0.000 0.500 0.000
4 Pd 0.500 0.000 0.500
5 Cl 0.136 0.218 0.995
6 Cl 0.138 0.565 0.789
7 Cl 0.218 0.136 0.495
8 Cl 0.336 0.664 0.250
9 Cl 0.435 0.862 0.711
10 Cl 0.565 0.138 0.289
11 Cl 0.664 0.336 0.750
12 Cl 0.782 0.864 0.505
13 Cl 0.862 0.435 0.211
14 Cl 0.864 0.782 0.005

***

Record 3
Starting from DFT lattice parameters and positions (GGA-PBE), the PXRD pattern of Li4Pm2Cl9 was simulated for Cu Ka.
Peak positions follow from Bragg's law for the DFT cell and can differ from measured ones.

Peak list (10 most intense, 10° ≤ 2θ ≤ 90°, by angle)
| two_theta | I (rel.) |
| --- | --- |
| 15.21 | 100 |
| 18.13 | 29 |
| 24.98 | 42 |
| 30.46 | 43 |
| 30.70 | 29 |
| 33.24 | 21 |
| 33.56 | 32 |
| 40.25 | 49 |
| 40.99 | 21 |
| 46.79 | 30 |

Structure:
Unit cell a=6.726 b=6.726 c=18.030 alpha=90.00 beta=90.00 gamma=120.00
Sites, in units of the cell vectors:
1 Li 0.333 0.667 0.169
2 Li 0.333 0.667 0.486
3 Li 0.333 0.667 0.669
4 Li 0.333 0.667 0.986
5 Li 0.667 0.333 0.014
6 Li 0.667 0.333 0.331
7 Li 0.667 0.333 0.514
8 Li 0.667 0.333 0.831
9 Pm 0.000 0.000 0.154
10 Pm 0.000 0.000 0.346
11 Pm 0.000 0.000 0.654
12 Pm 0.000 0.000 0.846
13 Cl 0.000 0.334 0.250
14 Cl 0.000 0.666 0.750
15 Cl 0.021 0.371 0.583
16 Cl 0.021 0.651 0.083
17 Cl 0.334 0.000 0.250
18 Cl 0.334 0.334 0.750
19 Cl 0.349 0.371 0.083
20 Cl 0.349 0.979 0.583
21 Cl 0.371 0.021 0.917
22 Cl 0.371 0.349 0.417
23 Cl 0.629 0.651 0.583
24 Cl 0.629 0.979 0.083
25 Cl 0.651 0.021 0.417
26 Cl 0.651 0.629 0.917
27 Cl 0.666 0.000 0.750
28 Cl 0.666 0.666 0.250
29 Cl 0.979 0.349 0.917
30 Cl 0.979 0.629 0.417

***

Record 4
Starting from DFT lattice parameters and positions (GGA-PBE), the PXRD pattern of LiPm3Se2Cl6 was simulated for Cu Ka.
Peak positions follow from Bragg's law for the DFT cell and can differ from measured ones.

Peak list (10 most intense, 10° ≤ 2θ ≤ 90°, by angle)
| two_theta | I (rel.) |
| --- | --- |
| 12.48 | 63 |
| 18.92 | 55 |
| 19.04 | 53 |
| 19.42 | 100 |
| 25.84 | 95 |
| 28.78 | 67 |
| 36.61 | 42 |
| 38.11 | 63 |
| 38.64 | 55 |
| 45.17 | 71 |

Structure:
Unit cell a=8.033 b=8.033 c=6.258 alpha=91.28 beta=91.28 gamma=61.97
Sites, in units of the cell vectors:
1 Li 0.000 0.000 0.000
2 Pm 0.000 0.500 0.000
3 Pm 0.500 0.000 0.000
4 Pm 0.500 0.500 0.500
5 Se 0.324 0.324 0.734
6 Se 0.676 0.676 0.266
7 Cl 0.157 0.157 0.211
8 Cl 0.174 0.672 0.243
9 Cl 0.328 0.826 0.757
10 Cl 0.672 0.174 0.243
11 Cl 0.826 0.328 0.757
12 Cl 0.843 0.843 0.789

***

Record 5
Starting from DFT lattice parameters and positions (GGA-PBE), the PXRD pattern of LiPmTlCl5 was simulated for Cu Ka.
Peak positions follow from Bragg's law for the DFT cell and can differ from measured ones.

Peak list (10 most intense, 10° ≤ 2θ ≤ 90°, by angle)
| two_theta | I (rel.) |
| --- | --- |
| 13.26 | 48 |
| 17.33 | 37 |
| 19.12 | 100 |
| 21.57 | 53 |
| 23.98 | 29 |
| 24.36 | 50 |
| 27.24 | 33 |
| 30.73 | 37 |
| 35.08 | 29 |
| 37.06 | 29 |

Structure:
Unit cell a=7.592 b=7.592 c=10.198 alpha=103.77 beta=103.77 gamma=107.31
Sites, in units of the cell vectors:
1 Li 0.191 0.809 0.750
2 Li 0.809 0.191 0.250
3 Pm 0.500 0.500 0.000
4 Pm 0.500 0.500 0.500
5 Tl 0.145 0.855 0.250
6 Tl 0.855 0.145 0.750
7 Cl 0.121 0.254 0.424
8 Cl 0.189 0.586 0.881
9 Cl 0.254 0.121 0.924
10 Cl 0.414 0.811 0.619
11 Cl 0.416 0.584 0.250
12 Cl 0.584 0.416 0.750
13 Cl 0.586 0.189 0.381
14 Cl 0.746 0.879 0.076
15 Cl 0.811 0.414 0.119
16 Cl 0.879 0.746 0.576